# 1
YErTh14: calculated powder diffraction line list (Cu Ka), based on DFT lattice parameters and positions (PBE).
Intensities are scaled so that the largest is 100.

Structural model:
```
YErTh14
1.0
11.577 0.000 0.000
0.000 3.584 6.213
0.000 -3.584 6.213
Y Er Th
1 1 14
Direct
0.000 0.000 0.000
0.000 0.500 0.500
0.000 0.496 0.997
0.000 0.997 0.496
0.250 0.165 0.665
0.250 0.665 0.165
0.250 0.665 0.665
0.251 0.165 0.165
0.500 0.332 0.332
0.500 0.332 0.832
0.500 0.832 0.332
0.500 0.832 0.832
0.749 0.165 0.165
0.750 0.165 0.665
0.750 0.665 0.165
0.750 0.665 0.665
```

The 6 most intense peaks (2θ = 10–80°), sorted by position:
2θ (°)	d/Å	I_rel
29.8	2.999	36
30.9	2.894	33
32.7	2.736	100
50.9	1.793	25
56.1	1.639	22
60.8	1.524	30

# 2
Y16Er7Th6: calculated powder diffraction line list (Cu Ka), based on DFT lattice parameters and positions (PBE).
Intensities are scaled so that the largest is 100.

Structural model:
```
Y16Er7Th6
1.0
0.000 7.834 7.834
7.834 0.000 7.834
7.834 7.834 0.000
Y Er Th
16 7 6
Direct
0.024 0.659 0.659
0.119 0.119 0.119
0.119 0.119 0.643
0.119 0.643 0.119
0.341 0.341 0.341
0.341 0.341 0.976
0.341 0.976 0.341
0.357 0.881 0.881
0.643 0.119 0.119
0.659 0.024 0.659
0.659 0.659 0.024
0.659 0.659 0.659
0.881 0.357 0.881
0.881 0.881 0.357
0.881 0.881 0.881
0.976 0.341 0.341
0.000 0.000 0.000
0.000 0.000 0.500
0.000 0.500 0.000
0.000 0.500 0.500
0.500 0.000 0.000
0.500 0.000 0.500
0.500 0.500 0.000
0.331 0.331 0.669
0.331 0.669 0.331
0.331 0.669 0.669
0.669 0.331 0.331
0.669 0.331 0.669
0.669 0.669 0.331
```

The 6 most intense peaks (2θ = 10–80°), sorted by position:
2θ (°)	d/Å	I_rel
27.9	3.198	45
29.6	3.015	100
32.3	2.770	91
34.3	2.611	47
38.1	2.362	37
58.6	1.575	41

# 3
YEr3Th5: calculated powder diffraction line list (Cu Ka), based on DFT lattice parameters and positions (PBE).
Intensities are scaled so that the largest is 100.

Structural model:
```
YEr3Th5
1.0
-4.591 4.591 7.112
4.591 -4.591 7.112
4.591 4.591 -7.112
Y Er Th
2 6 10
Direct
0.250 0.750 0.500
0.750 0.250 0.500
0.104 0.604 0.708
0.250 0.250 0.000
0.396 0.104 0.500
0.604 0.896 0.500
0.750 0.750 0.000
0.896 0.396 0.292
0.000 0.000 0.000
0.082 0.166 0.500
0.166 0.666 0.084
0.334 0.418 0.500
0.418 0.918 0.084
0.500 0.500 0.000
0.582 0.082 0.916
0.666 0.582 0.500
0.834 0.334 0.916
0.918 0.834 0.500
```

The 6 most intense peaks (2θ = 10–80°), sorted by position:
2θ (°)	d/Å	I_rel
27.5	3.246	55
28.8	3.104	37
31.8	2.811	100
35.8	2.507	22
41.0	2.200	23
51.4	1.778	29

# 4
YEr8Th2: calculated powder diffraction line list (Cu Ka), based on DFT lattice parameters and positions (PBE).
Intensities are scaled so that the largest is 100.

Structural model:
```
YEr8Th2
1.0
8.315 -3.270 0.000
8.315 3.270 0.000
-1.096 0.000 6.489
Y Er Th
1 8 2
Direct
0.000 0.000 0.000
0.173 0.653 0.595
0.200 0.200 0.817
0.347 0.827 0.405
0.410 0.410 0.097
0.590 0.590 0.903
0.653 0.173 0.595
0.800 0.800 0.183
0.827 0.347 0.405
0.248 0.248 0.335
0.752 0.752 0.665
```

The 6 most intense peaks (2θ = 10–80°), sorted by position:
2θ (°)	d/Å	I_rel
29.4	3.037	53
30.5	2.934	73
31.3	2.858	97
31.6	2.835	54
32.7	2.741	91
33.3	2.688	100